Starting from a cell relaxed with GGA-PBE, the X-ray diffraction stick pattern of GaHgPd2 was simulated for Cu Kα (λ = 1.5418 Å).

Structure:
a = 4.5680 Å, b = 4.5680 Å, c = 3.2092 Å
α = 90.00°, β = 90.00°, γ = 90.00°
Fractional positions:
Ga (0.0000, 0.0000, 0.0000)
Hg (0.5000, 0.5000, 0.0000)
Pd (0.0000, 0.5000, 0.5000)
Pd (0.5000, 0.0000, 0.5000)

Most intense lines, 2θ from 15° to 90°, sorted by position:
| index | 2θ (°) | I (rel.) |
| --- | --- | --- |
| 1 0 0 | 19.43 | 19 |
| 2 0 0 | 39.45 | 50 |
| 1 1 1 | 39.59 | 100 |
| 2 2 0 | 57.02 | 17 |
| 3 1 1 | 71.64 | 34 |
| 2 0 2 | 71.91 | 17 |